Diffraction record for GaAsAuC. The XRD peak list is computed, not measured: it uses a cell relaxed with GGA-PBE and Cu Kα.

Structural model:
```
data_GaAsAuC
_cell_length_a 3.080
_cell_length_b 3.367
_cell_length_c 6.471
_cell_angle_alpha 90.00
_cell_angle_beta 90.00
_cell_angle_gamma 90.00
_space_group_name_H-M_alt 'P m m 2'
_space_group_IT_number 25
_space_group_name_Hall 'P 2 -2'
loop_
_atom_site_label
_atom_site_fract_x
_atom_site_fract_y
_atom_site_fract_z
_atom_site_occupancy
Ga1 0.000 0.000 0.000 1
As1 0.500 0.500 0.366 1
Au1 0.500 0.000 0.680 1
C1 0.000 0.500 0.183 1
```

Most intense lines, 10° ≤ 2θ ≤ 90°, sorted by position:
- hkl 0 0 1, 13.68 deg, intensity 69.5
- hkl 0 1 1, 29.91 deg, intensity 100.0
- hkl 1 0 1, 32.18 deg, intensity 83.4
- hkl 0 1 2, 38.59 deg, intensity 41.2
- hkl 1 1 1, 42.14 deg, intensity 79.7
- hkl 1 1 2, 48.98 deg, intensity 77.9